This entry pairs a crystal structure of MgNb2 with its computed XRD peak list. Radiation: Cu Kα. Structure: the GGA-PBE geometry in Alexandria.
Neutral-atom scattering factors, no anomalous dispersion.

Structure:
```
data_MgNb2
_symmetry_space_group_name_H-M 'F m m m'
_symmetry_Int_Tables_number 69
_symmetry_space_group_name_Hall '-F 2 2'
_cell_length_a 3.4223
_cell_length_b 4.5805
_cell_length_c 14.6093
_cell_angle_alpha 90.00
_cell_angle_beta 90.00
_cell_angle_gamma 90.00
loop_
_atom_site_label
_atom_site_type_symbol
_atom_site_fract_x
_atom_site_fract_y
_atom_site_fract_z
Mg1 Mg 0.0000 0.0000 0.0000
Nb1 Nb 0.0000 0.0000 0.3268
```

Principal peaks in the range 5 to 70 degrees two-theta, in order of rising 2θ:
| Position (°2θ) | I_rel | index |
| --- | --- | --- |
| 12.12 | 59.0 | 0 0 2 |
| 33.25 | 12.0 | 1 1 1 |
| 36.92 | 25.4 | 0 0 6 |
| 37.65 | 100.0 | 1 1 3 |
| 39.34 | 22.4 | 0 2 0 |
| 41.31 | 5.7 | 0 2 2 |
| 45.36 | 13.0 | 1 1 5 |
| 53.56 | 8.9 | 2 0 0 |
| 55.06 | 17.9 | 0 2 6 |
| 66.82 | 8.5 | 2 0 6 |
| 67.00 | 15.7 | 1 1 9 |
| 68.44 | 8.3 | 2 2 0 |